For Na4HfInSi2PO12, a DFT-relaxed cell (GGA-PBE, the Materials Project) gives the computed X-ray powder pattern in this record (Cu Ka).

Most intense lines, 2θ from 10° to 80°, by angle:
| two_theta | intensity |
| --- | --- |
| 13.57 | 18.6 |
| 19.24 | 100.0 |
| 30.61 | 41.2 |
| 30.73 | 21.2 |
| 33.60 | 33.7 |
| 46.08 | 20.6 |

Crystal structure
```
data_Na4HfInSi2PO12
_cell_length_a 15.942
_cell_length_b 9.252
_cell_length_c 9.238
_cell_angle_alpha 90.00
_cell_angle_beta 125.39
_cell_angle_gamma 90.00
_symmetry_space_group_name_H-M 'C 1 c 1'
_symmetry_Int_Tables_number 9
_symmetry_space_group_name_Hall 'C -2yc'
loop_
_atom_site_label
_atom_site_type_symbol
_atom_site_fract_x
_atom_site_fract_y
_atom_site_fract_z
Na1 Na 0.000 0.055 0.000
Na2 Na 0.184 0.380 0.854
Na3 Na 0.361 0.075 0.728
Na4 Na 0.431 0.257 0.106
Hf1 Hf 0.283 0.250 0.264
In1 In 0.082 0.244 0.464
Si1 Si 0.180 0.048 0.865
Si2 Si 0.328 0.399 0.661
P1 P 0.032 0.396 0.070
O1 O 0.025 0.441 0.535
O2 O 0.029 0.376 0.231
O3 O 0.101 0.046 0.384
O4 O 0.103 0.157 0.700
O5 O 0.131 0.325 0.104
O6 O 0.228 0.331 0.640
O7 O 0.252 0.061 0.336
O8 O 0.263 0.145 0.044
O9 O 0.324 0.367 0.480
O10 O 0.332 0.423 0.180
O11 O 0.424 0.321 0.840
O12 O 0.441 0.182 0.401
```